Entry 1:
Calculated PXRD pattern of ErTm10Sc2 for Cu Kα, from a PBE-relaxed structure.
Peak positions follow from Bragg's law for the DFT cell and can differ from measured ones.

Structural model:
```
data_ErTm10Sc2
_chemical_formula_sum 'Er4 Tm40 Sc8'
_cell_length_a 6.374
_cell_length_b 15.015
_cell_length_c 16.886
_cell_angle_alpha 90.00
_cell_angle_beta 90.00
_cell_angle_gamma 90.00
_symmetry_space_group_name_H-M 'F m m m'
_symmetry_Int_Tables_number 69
_symmetry_space_group_name_Hall '-F 2 2'
loop_
_atom_site_label
_atom_site_fract_x
_atom_site_fract_y
_atom_site_fract_z
Er1 0.000 0.000 0.000
Tm1 0.000 0.105 0.401
Tm2 0.000 0.180 0.161
Tm3 0.250 0.000 0.250
Sc1 0.250 0.250 0.000
```

Peak list (12 most intense, 2θ = 10–90°, most intense first)
2θ 33.4, 2.682 Å, I = 100.0, (1 5 1)
2θ 27.7, 3.226 Å, I = 89.1, (1 3 3)
2θ 30.5, 2.928 Å, I = 88.6, (1 1 5)
2θ 32.3, 2.771 Å, I = 77.2, (2 2 2)
2θ 31.9, 2.805 Å, I = 73.0, (0 4 4)
2θ 35.3, 2.544 Å, I = 63.0, (2 0 4)
2θ 57.1, 1.613 Å, I = 52.6, (2 6 6)
2θ 28.0, 3.187 Å, I = 46.8, (2 0 0)
2θ 37.0, 2.430 Å, I = 36.0, (2 4 0)
2θ 24.2, 3.680 Å, I = 33.4, (0 2 4)
2θ 34.0, 2.635 Å, I = 32.5, (0 2 6)
2θ 54.2, 1.694 Å, I = 28.3, (1 3 9)

=====

Entry 2:
Calculated PXRD pattern of Dy3HoTh3 for Cu Kα, from a PBE-relaxed structure.
Peak positions follow from Bragg's law for the DFT cell and can differ from measured ones.

Structural model:
```
data_Dy3HoTh3
_chemical_formula_sum 'Dy6 Ho2 Th6'
_cell_length_a 9.4457
_cell_length_b 9.4457
_cell_length_c 5.8354
_cell_angle_alpha 90.00
_cell_angle_beta 90.00
_cell_angle_gamma 120.00
_symmetry_space_group_name_H-M 'P 63/m'
_symmetry_Int_Tables_number 176
_symmetry_space_group_name_Hall '-P 6c'
loop_
_atom_site_label
_atom_site_fract_x
_atom_site_fract_y
_atom_site_fract_z
Dy1 0.0916 0.6213 0.2500
Ho1 0.3333 0.6667 0.7500
Th1 0.0477 0.8133 0.7500
```

Peak list (12 most intense, 2θ = 10–90°, most intense first)
2θ 32.8, 2.732 Å, I = 100.0, (1 2 1)
2θ 30.6, 2.918 Å, I = 26.4, (0 0 2)
2θ 28.9, 3.092 Å, I = 23.2, (1 2 0)
2θ 60.8, 1.523 Å, I = 23.0, (4 1 2)
2θ 55.8, 1.646 Å, I = 22.5, (1 2 3)
2θ 51.2, 1.785 Å, I = 19.2, (4 1 0)
2θ 42.6, 2.122 Å, I = 16.4, (1 2 2)
2θ 62.1, 1.494 Å, I = 16.2, (2 4 1)
2θ 84.6, 1.146 Å, I = 13.9, (7 0 1)
2θ 86.1, 1.130 Å, I = 9.0, (4 1 4)
2θ 79.1, 1.210 Å, I = 8.2, (2 4 3)
2θ 89.8, 1.092 Å, I = 6.3, (1 2 5)

=====

Entry 3:
Calculated PXRD pattern of Sr3TlO for Cu Kα, from a PBE-relaxed structure.
Peak positions follow from Bragg's law for the DFT cell and can differ from measured ones.

Structural model:
```
data_Sr3TlO
_chemical_formula_sum 'Sr6 Tl2 O2'
_cell_length_a 6.405
_cell_length_b 7.369
_cell_length_c 7.394
_cell_angle_alpha 62.04
_cell_angle_beta 80.23
_cell_angle_gamma 79.65
_symmetry_space_group_name_H-M 'P -1'
_symmetry_Int_Tables_number 2
_symmetry_space_group_name_Hall '-P 1'
loop_
_atom_site_label
_atom_site_fract_x
_atom_site_fract_y
_atom_site_fract_z
Sr1 0.182 0.161 0.159
Sr2 0.282 0.150 0.682
Sr3 0.288 0.682 0.148
Tl1 0.262 0.650 0.643
O1 0.000 0.000 0.000
O2 0.500 0.000 0.000
```

Peak list (12 most intense, 2θ = 10–90°, most intense first)
2θ 29.6, 3.013 Å, I = 100.0, (1 0 2)
2θ 28.5, 3.135 Å, I = 53.4, (2 0 0)
2θ 32.2, 2.776 Å, I = 43.4, (1 0 -2)
2θ 32.6, 2.747 Å, I = 41.3, (1 -2 0)
2θ 29.5, 3.033 Å, I = 32.3, (1 2 2)
2θ 28.8, 3.096 Å, I = 29.9, (0 2 2)
2θ 47.8, 1.902 Å, I = 20.9, (0 2 -2)
2θ 18.0, 4.938 Å, I = 20.7, (1 1 1)
2θ 34.8, 2.576 Å, I = 18.1, (-1 2 2)
2θ 18.5, 4.785 Å, I = 15.1, (1 1 0)
2θ 53.6, 1.709 Å, I = 14.2, (2 4 2)
2θ 36.4, 2.469 Å, I = 13.6, (2 2 2)